The following is a calculated powder X-ray diffraction pattern of Pr2CuNi5. It was derived from a DFT-relaxed cell (GGA-PBE, Alexandria), using copper Kα.
Intensities are scaled so that the largest is 100.

Structural model:
```
data_Pr2CuNi5
_symmetry_space_group_name_H-M 'I 4 m m'
_symmetry_Int_Tables_number 107
_symmetry_space_group_name_Hall 'I 4 -2'
_cell_length_a 5.7801
_cell_length_b 5.7801
_cell_length_c 8.1717
_cell_angle_alpha 90.00
_cell_angle_beta 90.00
_cell_angle_gamma 90.00
loop_
_atom_site_label
_atom_site_type_symbol
_atom_site_fract_x
_atom_site_fract_y
_atom_site_fract_z
Pr1 Pr 0.0000 0.5000 0.0000
Cu1 Cu 0.0000 0.0000 0.2711
Ni1 Ni 0.0000 0.0000 0.9719
Ni2 Ni 0.2097 0.2097 0.7480
```

Main lines, most intense first (2θ = 10–90°):
2θ (°)  I (rel.)  index
38.14  100  2 0 2
30.95  77  1 1 2
44.33  75  0 0 4
64.49  40  2 2 4
77.46  27  2 0 6
48.55  22  3 0 1



The following is a calculated powder X-ray diffraction pattern of DyErPa. It was derived from a DFT-relaxed cell (GGA-PBE, Alexandria), using copper Kα.
Intensities are scaled so that the largest is 100.

Structural model:
```
data_DyErPa
_symmetry_space_group_name_H-M 'I 4 m m'
_symmetry_Int_Tables_number 107
_symmetry_space_group_name_Hall 'I 4 -2'
_cell_length_a 3.3943
_cell_length_b 3.3943
_cell_length_c 14.9993
_cell_angle_alpha 90.00
_cell_angle_beta 90.00
_cell_angle_gamma 90.00
loop_
_atom_site_label
_atom_site_type_symbol
_atom_site_fract_x
_atom_site_fract_y
_atom_site_fract_z
Dy1 Dy 0.0000 0.0000 0.0000
Er1 Er 0.0000 0.0000 0.3148
Pa1 Pa 0.0000 0.0000 0.6581
```

Main lines, most intense first (2θ = 10–90°):
2θ (°)  I (rel.)  index
31.87  100  1 0 3
37.47  33  1 1 0
64.11  28  2 1 3
52.88  23  1 1 6
35.92  17  0 0 6
62.04  13  1 0 9



The following is a calculated powder X-ray diffraction pattern of ThPa2Co9. It was derived from a DFT-relaxed cell (GGA-PBE, Alexandria), using copper Kα.
Intensities are scaled so that the largest is 100.

Structural model:
```
data_ThPa2Co9
_symmetry_space_group_name_H-M 'R -3 m'
_symmetry_Int_Tables_number 166
_symmetry_space_group_name_Hall '-R 3 2"'
_cell_length_a 4.8867
_cell_length_b 4.8867
_cell_length_c 24.6519
_cell_angle_alpha 90.00
_cell_angle_beta 90.00
_cell_angle_gamma 120.00
loop_
_atom_site_label
_atom_site_type_symbol
_atom_site_fract_x
_atom_site_fract_y
_atom_site_fract_z
Th1 Th 0.0000 0.0000 0.0000
Pa1 Pa 0.0000 0.0000 0.1381
Co1 Co 0.0000 0.0000 0.3331
Co2 Co 0.0000 0.0000 0.5000
Co3 Co 0.9997 0.4998 0.0831
```

Main lines, most intense first (2θ = 10–90°):
2θ (°)  I (rel.)  index
43.07  100  1 1 6
33.09  78  1 0 7
36.78  76  1 1 0
36.05  61  0 1 8
42.90  46  0 2 1
21.30  41  1 0 1



The following is a calculated powder X-ray diffraction pattern of Te. It was derived from a DFT-relaxed cell (GGA-PBE, Alexandria), using copper Kα.
Intensities are scaled so that the largest is 100.

Structural model:
```
data_Te
_symmetry_space_group_name_H-M 'I 41/a m d'
_symmetry_Int_Tables_number 141
_cell_length_a 5.7656
_cell_length_b 5.7656
_cell_length_c 4.2695
_cell_angle_alpha 90.00
_cell_angle_beta 90.00
_cell_angle_gamma 90.00
loop_
_symmetry_equiv_pos_as_xyz
'x,y,z'
'-x,-y,-z'
'-y+1/4,x+3/4,z+1/4'
'y+1/4,-x+3/4,-z+1/4'
'-x+1/2,-y,z+1/2'
'x+1/2,y,-z+1/2'
'y+1/4,-x+1/4,z+3/4'
'-y+1/4,x+1/4,-z+3/4'
'x,-y,-z'
'-x,y,z'
'-y+1/4,-x+1/4,-z+3/4'
'y+1/4,x+1/4,z+3/4'
'-x+1/2,y,-z+1/2'
'x+1/2,-y,z+1/2'
'y+1/4,x+3/4,-z+1/4'
'-y+1/4,-x+3/4,z+1/4'
'x+1/2,y+1/2,z+1/2'
'-x+1/2,-y+1/2,-z+1/2'
'-y+3/4,x+1/4,z+3/4'
'y+3/4,-x+1/4,-z+3/4'
'-x,-y+1/2,z'
'x,y+1/2,-z'
'y+3/4,-x+3/4,z+1/4'
'-y+3/4,x+3/4,-z+1/4'
'x+1/2,-y+1/2,-z+1/2'
'-x+1/2,y+1/2,z+1/2'
'-y+3/4,-x+3/4,-z+1/4'
'y+3/4,x+3/4,z+1/4'
'-x,y+1/2,-z'
'x,-y+1/2,z'
'y+3/4,x+1/4,-z+3/4'
'-y+3/4,-x+1/4,z+3/4'
loop_
_atom_site_label
_atom_site_type_symbol
_atom_site_fract_x
_atom_site_fract_y
_atom_site_fract_z
Te1 Te 0.0000 0.2500 0.3750
```

Main lines, most intense first (2θ = 10–90°):
2θ (°)  I (rel.)  index
25.97  100  1 0 1
31.02  63  2 0 0
40.89  59  2 1 1
48.11  37  1 1 2
67.57  26  3 1 2
44.44  23  2 2 0



The following is a calculated powder X-ray diffraction pattern of Th2PaSb3. It was derived from a DFT-relaxed cell (GGA-PBE, Alexandria), using copper Kα.
Intensities are scaled so that the largest is 100.

Structural model:
```
data_Th2PaSb3
_symmetry_space_group_name_H-M 'I 4/m m m'
_symmetry_Int_Tables_number 139
_symmetry_space_group_name_Hall '-I 4 2'
_cell_length_a 4.4658
_cell_length_b 4.4658
_cell_length_c 18.9257
_cell_angle_alpha 90.00
_cell_angle_beta 90.00
_cell_angle_gamma 90.00
loop_
_atom_site_label
_atom_site_type_symbol
_atom_site_fract_x
_atom_site_fract_y
_atom_site_fract_z
Th1 Th 0.0000 0.0000 0.1679
Pa1 Pa 0.0000 0.0000 0.5000
Sb1 Sb 0.0000 0.0000 0.0000
Sb2 Sb 0.0000 0.0000 0.3364
```

Main lines, most intense first (2θ = 10–90°):
2θ (°)  I (rel.)  index
28.27  100  1 1 0
40.41  78  2 0 0
66.20  36  3 1 0
50.05  28  2 0 6
73.49  27  3 1 6
24.42  16  1 0 3



The following is a calculated powder X-ray diffraction pattern of MgS6I2. It was derived from a DFT-relaxed cell (GGA-PBE, Alexandria), using copper Kα.
Intensities are scaled so that the largest is 100.

Structural model:
```
data_MgS6I2
_symmetry_space_group_name_H-M 'P -1'
_symmetry_Int_Tables_number 2
_symmetry_space_group_name_Hall '-P 1'
_cell_length_a 5.5595
_cell_length_b 6.5611
_cell_length_c 8.0448
_cell_angle_alpha 102.11
_cell_angle_beta 99.44
_cell_angle_gamma 111.69
loop_
_atom_site_label
_atom_site_type_symbol
_atom_site_fract_x
_atom_site_fract_y
_atom_site_fract_z
Mg1 Mg 0.0000 0.0000 0.0000
S1 S 0.0325 0.2407 0.7744
S2 S 0.2036 0.7082 0.8933
S3 S 0.4972 0.1823 0.2125
I1 I 0.3809 0.2680 0.6375
```

Main lines, most intense first (2θ = 10–90°):
2θ (°)  I (rel.)  index
23.88  100  1 0 1
30.70  37  0 2 0
28.96  29  1 -2 1
31.73  23  0 1 2
37.58  22  2 0 -2
21.81  21  0 1 1